Calculated X-ray powder pattern
Compound: Fe2BiO4
Radiation: CuKα
Structure: a GGA+U-relaxed structure
Peak positions follow from Bragg's law for the DFT cell and can differ from measured ones.

Most intense lines, 2θ = 10–90°, by angle:
h k l	2θ (°)	d (Å)	I (rel.)
1 1 0	16.42	5.398	47
2 0 0	26.30	3.389	61
0 2 1	27.72	3.219	100
2 2 -1	28.15	3.170	97
2 0 -2	28.82	3.097	46
1 1 1	31.33	2.855	65
3 1 -1	32.11	2.788	58
1 1 -2	32.98	2.716	64
1 3 -1	33.41	2.682	79
3 1 -2	33.72	2.658	63

Crystal structure
```
data_Fe2BiO4
_cell_length_a 9.043
_cell_length_b 8.927
_cell_length_c 6.198
_cell_angle_alpha 90.00
_cell_angle_beta 131.45
_cell_angle_gamma 90.00
_symmetry_space_group_name_H-M 'C 1 2/c 1'
_symmetry_Int_Tables_number 15
loop_
_symmetry_equiv_pos_as_xyz
'x,y,z'
'-x,-y,-z'
'-x,y,-z+1/2'
'x,-y,z+1/2'
'x+1/2,y+1/2,z'
'-x+1/2,-y+1/2,-z'
'-x+1/2,y+1/2,-z+1/2'
'x+1/2,-y+1/2,z+1/2'
loop_
_atom_site_label
_atom_site_fract_x
_atom_site_fract_y
_atom_site_fract_z
Fe1 0.000 0.000 0.000
Fe2 0.250 0.250 0.000
Bi1 0.000 0.386 0.250
O1 0.007 0.233 0.984
O2 0.199 0.007 0.942
```